Simulated powder diffraction line list
Compound: CeSiO4
Radiation: Cu Kα
Structure: a cell relaxed with GGA-PBE
Peak positions follow from Bragg's law for the DFT cell and can differ from measured ones.

```
data_CeSiO4
_chemical_formula_sum 'Ce4 Si4 O16'
_cell_length_a 7.0542
_cell_length_b 7.0542
_cell_length_c 6.2781
_cell_angle_alpha 90.00
_cell_angle_beta 90.00
_cell_angle_gamma 90.00
_space_group_name_H-M_alt 'I 41/a m d'
_space_group_IT_number 141
loop_
_space_group_symop_operation_xyz
'x,y,z'
'-x,-y,-z'
'-y+1/4,x+3/4,z+1/4'
'y+1/4,-x+3/4,-z+1/4'
'-x+1/2,-y,z+1/2'
'x+1/2,y,-z+1/2'
'y+1/4,-x+1/4,z+3/4'
'-y+1/4,x+1/4,-z+3/4'
'x,-y,-z'
'-x,y,z'
'-y+1/4,-x+1/4,-z+3/4'
'y+1/4,x+1/4,z+3/4'
'-x+1/2,y,-z+1/2'
'x+1/2,-y,z+1/2'
'y+1/4,x+3/4,-z+1/4'
'-y+1/4,-x+3/4,z+1/4'
'x+1/2,y+1/2,z+1/2'
'-x+1/2,-y+1/2,-z+1/2'
'-y+3/4,x+1/4,z+3/4'
'y+3/4,-x+1/4,-z+3/4'
'-x,-y+1/2,z'
'x,y+1/2,-z'
'y+3/4,-x+3/4,z+1/4'
'-y+3/4,x+3/4,-z+1/4'
'x+1/2,-y+1/2,-z+1/2'
'-x+1/2,y+1/2,z+1/2'
'-y+3/4,-x+3/4,-z+1/4'
'y+3/4,x+3/4,z+1/4'
'-x,y+1/2,-z'
'x,-y+1/2,z'
'y+3/4,x+1/4,-z+3/4'
'-y+3/4,-x+1/4,z+3/4'
loop_
_atom_site_label
_atom_site_fract_x
_atom_site_fract_y
_atom_site_fract_z
Ce1 0.0000 0.2500 0.3750
Si1 0.0000 0.2500 0.8750
O1 0.0000 0.0712 0.7058
```

Largest 6 diffraction maxima, low angle first, 2θ = 10–90°:
| two_theta | I_rel | hkl |
| --- | --- | --- |
| 18.92 | 61.1 | 1 0 1 |
| 25.25 | 100.0 | 2 0 0 |
| 31.74 | 22.2 | 2 1 1 |
| 33.74 | 65.9 | 1 1 2 |
| 40.99 | 22.6 | 3 0 1 |
| 50.17 | 56.6 | 3 1 2 |